(1)
Structure and calculated XRD peak list of Nd6Mg23C (a DFT-relaxed cell (PBE, the Materials Project); Cu Kα, 1.54184 Å).
Kinematic intensities with the Lorentz-polarization factor, no thermal factor.

Most intense lines, 10° ≤ 2θ ≤ 90°, most intense first:
- 32.39°, d = 2.764 Å, intensity 100
- 10.67°, d = 8.293 Å, intensity 51
- 27.06°, d = 3.295 Å, intensity 40
- 30.49°, d = 2.932 Å, intensity 36
- 54.19°, d = 1.693 Å, intensity 34
- 37.57°, d = 2.394 Å, intensity 30
- 35.35°, d = 2.539 Å, intensity 26
- 12.32°, d = 7.182 Å, intensity 25
- 21.43°, d = 4.146 Å, intensity 25
- 64.56°, d = 1.444 Å, intensity 23
- 45.08°, d = 2.011 Å, intensity 18
- 55.40°, d = 1.659 Å, intensity 17

Crystal structure
a b c (Å): 10.1563 10.1563 10.1563
angles (deg): 60.00 60.00 60.00
Fractional coordinates of all 30 atoms:
Nd 0.1835 0.1835 0.8165
Nd 0.1835 0.8165 0.1835
Nd 0.1835 0.8165 0.8165
Nd 0.8165 0.1835 0.1835
Nd 0.8165 0.1835 0.8165
Nd 0.8165 0.8165 0.1835
Mg 0.0000 0.0000 0.5000
Mg 0.0000 0.5000 0.0000
Mg 0.0000 0.5000 0.5000
Mg 0.1394 0.6202 0.6202
Mg 0.1713 0.1713 0.1713
Mg 0.1713 0.1713 0.4860
Mg 0.1713 0.4860 0.1713
Mg 0.3798 0.3798 0.3798
Mg 0.3798 0.3798 0.8606
Mg 0.3798 0.8606 0.3798
Mg 0.4860 0.1713 0.1713
Mg 0.5000 0.0000 0.0000
Mg 0.5000 0.0000 0.5000
Mg 0.5000 0.5000 0.0000
Mg 0.5000 0.5000 0.5000
Mg 0.5140 0.8287 0.8287
Mg 0.6202 0.1394 0.6202
Mg 0.6202 0.6202 0.1394
Mg 0.6202 0.6202 0.6202
Mg 0.8287 0.5140 0.8287
Mg 0.8287 0.8287 0.5140
Mg 0.8287 0.8287 0.8287
Mg 0.8606 0.3798 0.3798
C 0.0000 0.0000 0.0000

***

(2)
Structure and calculated XRD peak list of Eu2TlSn (a DFT-relaxed cell (PBE, the Materials Project); Cu Kα, 1.54184 Å).
Kinematic intensities with the Lorentz-polarization factor, no thermal factor.

Most intense lines, 10° ≤ 2θ ≤ 90°, most intense first:
- 31.82°, d = 2.812 Å, intensity 100
- 56.69°, d = 1.624 Å, intensity 39
- 45.62°, d = 1.989 Å, intensity 19
- 75.61°, d = 1.258 Å, intensity 17
- 66.49°, d = 1.406 Å, intensity 12
- 84.36°, d = 1.148 Å, intensity 4
- 19.33°, d = 4.592 Å, intensity 3
- 37.50°, d = 2.398 Å, intensity 2
- 49.98°, d = 1.825 Å, intensity 1
- 60.48°, d = 1.531 Å, intensity 1
- 69.97°, d = 1.345 Å, intensity 1

Crystal structure
a b c (Å): 5.6245 5.6245 5.6245
angles (deg): 60.00 60.00 60.00
Fractional coordinates of all 4 atoms:
Eu 0.2500 0.2500 0.2500
Eu 0.7500 0.7500 0.7500
Tl 0.0000 0.0000 0.0000
Sn 0.5000 0.5000 0.5000

***

(3)
Structure and calculated XRD peak list of AlCr2B2 (a DFT-relaxed cell (PBE, the Materials Project); Cu Kα, 1.54184 Å).
Kinematic intensities with the Lorentz-polarization factor, no thermal factor.

Most intense lines, 10° ≤ 2θ ≤ 90°, most intense first:
- 39.31°, d = 2.292 Å, intensity 100
- 44.44°, d = 2.039 Å, intensity 92
- 45.02°, d = 2.014 Å, intensity 74
- 50.49°, d = 1.808 Å, intensity 46
- 30.40°, d = 2.940 Å, intensity 31
- 75.69°, d = 1.256 Å, intensity 25
- 77.08°, d = 1.237 Å, intensity 23
- 81.26°, d = 1.184 Å, intensity 22
- 49.47°, d = 1.842 Å, intensity 22
- 34.56°, d = 2.596 Å, intensity 21
- 32.40°, d = 2.764 Å, intensity 20
- 63.26°, d = 1.470 Å, intensity 18

Crystal structure
a b c (Å): 5.7176 5.7176 2.9399
angles (deg): 90.00 90.00 150.34
Fractional coordinates of all 5 atoms:
Al 0.0000 0.0000 0.0000
Cr 0.3520 0.6480 0.5000
Cr 0.6480 0.3520 0.5000
B 0.2056 0.7944 0.0000
B 0.7944 0.2056 0.0000

***

(4)
Structure and calculated XRD peak list of Ca2Y3Si3O13 (a DFT-relaxed cell (PBE, the Materials Project); Cu Kα, 1.54184 Å).
Kinematic intensities with the Lorentz-polarization factor, no thermal factor.

Most intense lines, 10° ≤ 2θ ≤ 90°, most intense first:
- 31.63°, d = 2.829 Å, intensity 100
- 49.27°, d = 1.850 Å, intensity 37
- 25.77°, d = 3.457 Å, intensity 34
- 32.06°, d = 2.792 Å, intensity 26
- 51.84°, d = 1.764 Å, intensity 23
- 32.75°, d = 2.734 Å, intensity 23
- 50.25°, d = 1.816 Å, intensity 23
- 46.49°, d = 1.954 Å, intensity 18
- 28.80°, d = 3.100 Å, intensity 17
- 21.67°, d = 4.101 Å, intensity 16
- 28.01°, d = 3.186 Å, intensity 16
- 22.76°, d = 3.907 Å, intensity 14

Crystal structure
a b c (Å): 9.4686 6.9138 9.4692
angles (deg): 90.00 119.94 90.00
Fractional coordinates of all 42 atoms:
Ca 0.1688 0.0000 0.3340
Ca 0.1691 0.4954 0.3359
Ca 0.8312 0.5000 0.6660
Ca 0.8309 0.9954 0.6641
Y 0.2540 0.7462 0.9944
Y 0.2575 0.2460 0.7535
Y 0.4934 0.2454 0.2384
Y 0.5066 0.7454 0.7616
Y 0.7425 0.7460 0.2465
Y 0.7460 0.2462 0.0056
Si 0.1077 0.2470 0.9766
Si 0.1328 0.7467 0.6104
Si 0.4774 0.7461 0.3681
Si 0.5226 0.2461 0.6319
Si 0.8672 0.2467 0.3896
Si 0.8923 0.7470 0.0234
O 0.0248 0.7457 0.7009
O 0.0261 0.7501 0.4105
O 0.0921 0.7496 0.1169
O 0.1669 0.0603 0.9104
O 0.1717 0.4317 0.9128
O 0.1993 0.2464 0.1751
O 0.2578 0.5597 0.6681
O 0.2610 0.9308 0.6754
O 0.3237 0.2454 0.5261
O 0.3859 0.7490 0.4765
O 0.4097 0.5595 0.2429
O 0.4124 0.9316 0.2414
O 0.4995 0.2427 0.9981
O 0.5005 0.7427 0.0019
O 0.5876 0.4316 0.7586
O 0.5903 0.0595 0.7571
O 0.6141 0.2490 0.5235
O 0.6763 0.7454 0.4739
O 0.7390 0.4308 0.3246
O 0.7422 0.0597 0.3319
O 0.8007 0.7464 0.8249
O 0.8283 0.9317 0.0872
O 0.8331 0.5603 0.0896
O 0.9079 0.2496 0.8831
O 0.9739 0.2501 0.5895
O 0.9752 0.2457 0.2991

***

(5)
Structure and calculated XRD peak list of LiBH4 (a DFT-relaxed cell (PBE, the Materials Project); Cu Kα, 1.54184 Å).
Kinematic intensities with the Lorentz-polarization factor, no thermal factor.

Most intense lines, 10° ≤ 2θ ≤ 90°, most intense first:
- 31.33°, d = 2.855 Å, intensity 100
- 44.89°, d = 2.019 Å, intensity 59
- 27.04°, d = 3.297 Å, intensity 48
- 74.27°, d = 1.277 Å, intensity 23
- 55.76°, d = 1.649 Å, intensity 20
- 82.81°, d = 1.166 Å, intensity 17
- 65.37°, d = 1.428 Å, intensity 5
- 72.09°, d = 1.310 Å, intensity 1
- 53.20°, d = 1.722 Å, intensity 1

Crystal structure
a b c (Å): 4.0380 4.0380 4.0380
angles (deg): 60.00 60.00 60.00
Fractional coordinates of all 6 atoms:
Li 0.0000 0.0000 0.0000
B 0.5000 0.5000 0.5000
H 0.3768 0.3768 0.3768
H 0.3768 0.3768 0.8696
H 0.3768 0.8696 0.3768
H 0.8696 0.3768 0.3768